NaPu2VO8: calculated powder diffractogram (Cu Kα X-rays), based on a DFT-relaxed cell (GGA+U, Alexandria).
Peak positions follow from Bragg's law for the DFT cell and can differ from measured ones.

Main lines, by intensity (10° ≤ 2θ ≤ 90°):
hkl 1 1 0, 18.39°, I = 100; hkl 1 1 2, 32.27°, I = 84; hkl 0 2 0, 25.70°, I = 47; hkl 2 0 0, 26.53°, I = 43; hkl 1 3 2, 49.64°, I = 34; hkl 3 1 2, 50.59°, I = 31; hkl 0 2 2, 37.09°, I = 29; hkl 2 2 0, 37.28°, I = 22

Crystal structure
Unit cell a=6.7188 b=6.9315 c=6.7813 alpha=90.00 beta=90.00 gamma=90.00
Space group Cmmm (No. 65)
Unique sites:
Na 0.0000 0.0000 0.0000 (multiplicity 2)
Pu 0.0000 0.5000 0.2544 (multiplicity 4)
V 0.0000 0.0000 0.5000 (multiplicity 2)
O 0.0000 0.2935 0.5000 (multiplicity 4)
O 0.0000 0.3239 0.0000 (multiplicity 4)
O 0.1998 0.0000 0.2901 (multiplicity 8)